# Li3Fe9O5F11
Theoretical powder X-ray diffraction pattern, a wavelength of 1.5418 Å. Input: a structure optimized by DFT (PBE+U).

Structure:
Cell lengths 6.143, 6.225, 10.330 Å; angles 75.36, 74.34, 61.36 degrees
Space group P1 (No. 1)
Symmetry-distinct sites (fractional):
1 Li 0.000 0.000 0.000 [1 per cell]
2 Li 0.182 0.187 0.418 [1 per cell]
3 Li 0.381 0.357 0.850 [1 per cell]
4 Fe 0.182 0.683 0.420 [1 per cell]
5 Fe 0.425 0.435 0.174 [1 per cell]
6 Fe 0.434 0.911 0.675 [1 per cell]
7 Fe 0.459 0.930 0.168 [1 per cell]
8 Fe 0.673 0.708 0.414 [1 per cell]
9 Fe 0.677 0.174 0.414 [1 per cell]
10 Fe 0.918 0.443 0.685 [1 per cell]
11 Fe 0.935 0.457 0.168 [1 per cell]
12 Fe 0.951 0.912 0.678 [1 per cell]
13 O 0.048 0.544 0.311 [1 per cell]
14 O 0.297 0.834 0.541 [1 per cell]
15 O 0.524 0.086 0.298 [1 per cell]
16 O 0.558 0.553 0.302 [1 per cell]
17 O 0.809 0.806 0.550 [1 per cell]
18 F 0.058 0.068 0.301 [1 per cell]
19 F 0.061 0.072 0.797 [1 per cell]
20 F 0.071 0.561 0.789 [1 per cell]
21 F 0.278 0.306 0.555 [1 per cell]
22 F 0.309 0.295 0.047 [1 per cell]
23 F 0.314 0.796 0.069 [1 per cell]
24 F 0.568 0.548 0.788 [1 per cell]
25 F 0.570 0.050 0.778 [1 per cell]
26 F 0.810 0.312 0.064 [1 per cell]
27 F 0.818 0.811 0.052 [1 per cell]
28 F 0.821 0.283 0.545 [1 per cell]

Principal peaks in the range 15° ≤ 2θ ≤ 90°, in order of rising 2θ:
2θ (°)	I (rel.)	hkl
18.03	44	0 0 2
40.36	100	0 2 -2
41.39	93	2 0 -2
42.75	84	2 2 4
58.52	29	2 -2 0
59.49	29	2 4 2